Record 1
Ti3O5F: theoretical PXRD pattern (Cu Kα (weighted mean of Kα1 and Kα2)), based on a DFT-relaxed cell (PBE, Alexandria).

Top 10 peaks for 10 to 80 degrees two-theta, in order of rising 2θ:
2θ 26.3, d 3.385, intensity 98; 2θ 27.3, d 3.265, intensity 100; 2θ 35.5, d 2.526, intensity 89; 2θ 40.9, d 2.207, intensity 21; 2θ 52.6, d 1.741, intensity 28; 2θ 52.8, d 1.734, intensity 30; 2θ 53.8, d 1.704, intensity 56; 2θ 54.2, d 1.693, intensity 18; 2θ 67.4, d 1.390, intensity 20; 2θ 67.6, d 1.387, intensity 22

Cell and atoms:
Cell: 5.5837 5.5837 7.3911 Å, 109.81 109.81 71.57°
Sites, in units of the cell vectors:
Ti (0.0000, 0.0000, 0.0000)
Ti (0.0000, 0.0000, 0.5000)
Ti (0.3278, 0.3278, 0.3402)
Ti (0.3546, 0.3546, 0.8232)
Ti (0.6454, 0.6454, 0.1768)
Ti (0.6722, 0.6722, 0.6599)
O (0.0314, 0.6382, 0.8337)
O (0.2316, 0.2316, 0.5344)
O (0.3012, 0.6988, 0.5000)
O (0.3618, 0.9686, 0.1663)
O (0.4304, 0.4304, 0.1251)
O (0.5696, 0.5696, 0.8749)
O (0.6382, 0.0314, 0.8337)
O (0.6988, 0.3012, 0.5000)
O (0.7684, 0.7684, 0.4656)
O (0.9686, 0.3618, 0.1663)
F (0.1026, 0.1026, 0.8017)
F (0.8974, 0.8974, 0.1983)



Record 2
TlO2F4: theoretical PXRD pattern (Cu Kα (weighted mean of Kα1 and Kα2)), based on a DFT-relaxed cell (PBE, Alexandria).

Top 10 peaks for 10 to 80 degrees two-theta, in order of rising 2θ:
2θ 13.7, d 6.460, intensity 100; 2θ 22.9, d 3.886, intensity 64; 2θ 25.0, d 3.568, intensity 36; 2θ 25.1, d 3.548, intensity 19; 2θ 30.2, d 2.960, intensity 40; 2θ 32.1, d 2.792, intensity 21; 2θ 35.7, d 2.515, intensity 15; 2θ 43.1, d 2.098, intensity 28; 2θ 43.5, d 2.081, intensity 20; 2θ 51.7, d 1.768, intensity 16

Cell and atoms:
Cell: 7.0030 7.0030 3.7012 Å, 104.72 104.72 33.82°
Sites, in units of the cell vectors:
Tl (0.0000, 0.0000, 0.0000)
O (0.2762, 0.2762, 0.1038)
O (0.7238, 0.7238, 0.8962)
F (0.0997, 0.0997, 0.6040)
F (0.4022, 0.4022, 0.8885)
F (0.5978, 0.5978, 0.1115)
F (0.9003, 0.9003, 0.3960)